Starting from a crystal structure in Alexandria, relaxed with GGA-PBE, the X-ray diffraction stick pattern of LaB2Ir2C was computed for Cu Kα.
Lines closer than 0.1° are merged.

Main lines, in order of rising 2θ (15° ≤ 2θ ≤ 90°):
2θ/deg, I_rel
16.9, 33.3
24.4, 13.8
32.5, 11.7
34.2, 29.4
36.8, 100.0
46.6, 27.6
47.9, 10.7
59.1, 24.8
62.9, 22.1
68.0, 8.9
78.4, 10.9
80.0, 21.5

Structural model:
Cell: 3.897 3.897 10.496 Å, 90.00 90.00 90.00°
Atoms (fractional coordinates):
La: 0.000 0.000 0.000
La: 0.500 0.500 0.500
B: 0.000 0.000 0.355
B: 0.000 0.000 0.645
B: 0.500 0.500 0.145
B: 0.500 0.500 0.855
Ir: 0.000 0.500 0.250
Ir: 0.000 0.500 0.750
Ir: 0.500 0.000 0.250
Ir: 0.500 0.000 0.750
C: 0.000 0.000 0.500
C: 0.500 0.500 0.000



Starting from a crystal structure in Alexandria, relaxed with GGA-PBE, the X-ray diffraction stick pattern of PaB2Ir2C was computed for Cu Kα.
Lines closer than 0.1° are merged.

Main lines, in order of rising 2θ (15° ≤ 2θ ≤ 90°):
2θ/deg, I_rel
17.2, 9.9
24.8, 31.6
34.7, 29.7
35.0, 17.1
37.5, 100.0
47.5, 27.4
54.3, 8.4
60.1, 25.1
64.1, 22.2
69.4, 8.9
80.0, 11.3
81.6, 22.0

Structural model:
Cell: 3.832 3.832 10.331 Å, 90.00 90.00 90.00°
Atoms (fractional coordinates):
Pa: 0.000 0.000 0.000
Pa: 0.500 0.500 0.500
B: 0.000 0.000 0.353
B: 0.000 0.000 0.647
B: 0.500 0.500 0.147
B: 0.500 0.500 0.853
Ir: 0.000 0.500 0.250
Ir: 0.000 0.500 0.750
Ir: 0.500 0.000 0.250
Ir: 0.500 0.000 0.750
C: 0.000 0.000 0.500
C: 0.500 0.500 0.000



Starting from a crystal structure in Alexandria, relaxed with GGA-PBE, the X-ray diffraction stick pattern of K2BC3N3 was computed for Cu Kα.
Lines closer than 0.1° are merged.

Main lines, in order of rising 2θ (15° ≤ 2θ ≤ 90°):
2θ/deg, I_rel
23.5, 73.4
27.3, 100.0
28.8, 28.7
31.1, 77.5
31.3, 54.3
33.2, 25.2
35.6, 57.0
36.6, 22.9
39.3, 35.0
40.9, 16.6
45.7, 19.4
48.0, 25.1

Structural model:
Cell: 8.157 7.095 8.688 Å, 61.26 49.70 69.04°
Atoms (fractional coordinates):
K: 0.208 0.792 0.383
K: 0.633 0.867 0.458
K: 0.792 0.208 0.617
K: 0.867 0.633 0.042
B: 0.211 0.211 0.789
B: 0.461 0.461 0.039
C: 0.085 0.173 0.025
C: 0.173 0.085 0.717
C: 0.225 0.533 0.165
C: 0.376 0.376 0.624
C: 0.533 0.225 0.077
C: 0.626 0.626 0.874
N: 0.040 0.592 0.266
N: 0.147 0.984 0.658
N: 0.507 0.507 0.493
N: 0.592 0.040 0.103
N: 0.757 0.757 0.743
N: 0.984 0.147 0.210



Starting from a crystal structure in Alexandria, relaxed with GGA-PBE, the X-ray diffraction stick pattern of KBC2N2 was computed for Cu Kα.
Lines closer than 0.1° are merged.

Main lines, in order of rising 2θ (15° ≤ 2θ ≤ 90°):
2θ/deg, I_rel
23.8, 100.0
24.2, 83.2
25.6, 73.3
29.1, 74.3
29.5, 18.7
31.5, 19.1
33.8, 19.4
36.6, 17.5
39.1, 40.9
39.8, 23.6
44.3, 34.7
48.7, 32.3

Structural model:
Cell: 9.282 9.282 9.282 Å, 124.18 124.18 82.91°
Atoms (fractional coordinates):
K: 0.000 0.000 0.000
K: 0.500 0.000 0.000
K: 0.500 0.000 0.500
K: 0.500 0.500 0.500
B: 0.000 0.000 0.500
B: 0.000 0.500 0.000
B: 0.000 0.500 0.500
B: 0.500 0.500 0.000
C: 0.101 0.063 0.722
C: 0.120 0.399 0.462
C: 0.159 0.620 0.222
C: 0.437 0.659 0.038
C: 0.563 0.341 0.962
C: 0.841 0.380 0.778
C: 0.880 0.601 0.538
C: 0.899 0.937 0.278
N: 0.186 0.114 0.905
N: 0.219 0.314 0.428
N: 0.292 0.719 0.405
N: 0.386 0.792 0.072
N: 0.614 0.208 0.928
N: 0.708 0.281 0.595
N: 0.781 0.686 0.572
N: 0.814 0.886 0.095



Starting from a crystal structure in Alexandria, relaxed with GGA-PBE, the X-ray diffraction stick pattern of KBC4N4 was computed for Cu Kα.
Lines closer than 0.1° are merged.

Main lines, in order of rising 2θ (15° ≤ 2θ ≤ 90°):
2θ/deg, I_rel
21.2, 100.0
27.5, 9.5
28.2, 40.7
30.1, 14.2
33.1, 11.1
33.3, 39.0
35.0, 40.7
35.1, 11.9
41.3, 11.3
45.6, 8.0
55.1, 9.6
55.6, 9.4

Structural model:
Cell: 8.903 8.903 8.903 Å, 132.03 132.03 70.18°
Atoms (fractional coordinates):
K: 0.375 0.125 0.250
K: 0.625 0.875 0.750
B: 0.125 0.375 0.750
B: 0.875 0.625 0.250
C: 0.092 0.779 0.496
C: 0.096 0.592 0.813
C: 0.217 0.404 0.996
C: 0.279 0.283 0.687
C: 0.721 0.717 0.313
C: 0.783 0.596 0.004
C: 0.904 0.408 0.187
C: 0.908 0.221 0.504
N: 0.075 0.752 0.861
N: 0.252 0.891 0.677
N: 0.286 0.425 0.177
N: 0.391 0.214 0.639
N: 0.609 0.786 0.361
N: 0.714 0.575 0.823
N: 0.748 0.109 0.323
N: 0.925 0.248 0.139



Starting from a crystal structure in Alexandria, relaxed with GGA-PBE, the X-ray diffraction stick pattern of KBC4O8 was computed for Cu Kα.
Lines closer than 0.1° are merged.

Main lines, in order of rising 2θ (15° ≤ 2θ ≤ 90°):
2θ/deg, I_rel
20.8, 100.0
21.0, 94.9
28.2, 20.7
28.4, 18.1
32.5, 20.4
33.9, 15.8
34.2, 28.3
34.4, 56.2
38.6, 12.2
39.0, 15.1
41.4, 10.7
41.6, 17.6

Structural model:
Cell: 7.019 7.019 8.460 Å, 90.00 90.00 105.08°
Atoms (fractional coordinates):
K: 0.076 0.924 0.750
K: 0.924 0.076 0.250
B: 0.423 0.577 0.250
B: 0.577 0.423 0.750
C: 0.229 0.771 0.159
C: 0.229 0.771 0.341
C: 0.292 0.528 0.750
C: 0.472 0.708 0.750
C: 0.528 0.292 0.250
C: 0.708 0.472 0.250
C: 0.771 0.229 0.659
C: 0.771 0.229 0.841
O: 0.120 0.535 0.750
O: 0.140 0.860 0.074
O: 0.140 0.860 0.426
O: 0.343 0.657 0.110
O: 0.343 0.657 0.390
O: 0.357 0.365 0.750
O: 0.365 0.357 0.250
O: 0.465 0.880 0.750
O: 0.535 0.120 0.250
O: 0.635 0.643 0.750
O: 0.643 0.635 0.250
O: 0.657 0.343 0.610
O: 0.657 0.343 0.890
O: 0.860 0.140 0.574
O: 0.860 0.140 0.926
O: 0.880 0.465 0.250



Starting from a crystal structure in Alexandria, relaxed with GGA-PBE, the X-ray diffraction stick pattern of KB6PbC6 was computed for Cu Kα.
Lines closer than 0.1° are merged.

Main lines, in order of rising 2θ (15° ≤ 2θ ≤ 90°):
2θ/deg, I_rel
18.1, 70.0
25.7, 100.0
31.6, 25.5
36.6, 38.6
41.1, 39.2
45.3, 82.7
52.8, 15.6
56.2, 20.5
59.6, 22.0
72.0, 40.5
80.7, 12.5
83.6, 13.2

Structural model:
Cell: 4.907 4.907 4.907 Å, 90.00 90.00 90.00°
Atoms (fractional coordinates):
K: 0.000 0.000 0.000
B: 0.000 0.249 0.500
B: 0.000 0.751 0.500
B: 0.249 0.500 0.000
B: 0.500 0.000 0.249
B: 0.500 0.000 0.751
B: 0.751 0.500 0.000
Pb: 0.500 0.500 0.500
C: 0.000 0.500 0.251
C: 0.000 0.500 0.749
C: 0.251 0.000 0.500
C: 0.500 0.251 0.000
C: 0.500 0.749 0.000
C: 0.749 0.000 0.500